Starting from the GGA+U geometry in OQMD, the powder X-ray diffraction pattern of ZnCoAsO was calculated for Cu Kα, 1.54184 Å.
Lines closer than 0.1° are merged.

The 10 most intense peaks (2θ = 5–70°), sorted by position:
(hkl)	2θ (°)	I (rel.)
0 2 0	27.91	43
0 0 2	29.49	90
1 1 0	30.68	100
0 2 1	31.64	42
1 1 1	34.14	57
1 2 0	39.39	46
1 0 2	40.57	54
1 3 0	51.14	54
1 1 3	55.35	55
1 3 2	60.14	32

Structural model:
a = 3.274 Å, b = 6.394 Å, c = 6.059 Å
α = 90.00°, β = 90.00°, γ = 90.00°
Space group Pmc2_1 (No. 26)
Asymmetric unit:
Zn1 0.000 0.199 0.000 (multiplicity 2)
Co1 0.500 0.391 0.579 (multiplicity 2)
As1 0.000 0.175 0.410 (multiplicity 2)
O1 0.500 0.351 0.899 (multiplicity 2)